Starting from DFT lattice parameters and positions (GGA-PBE), the X-ray powder pattern of ZrGa2Br4F2 was simulated for Cu Kα (λ = 1.5418 Å).

Largest 6 diffraction maxima, in order of falling intensity, 15 to 90 degrees two-theta:
h k l, d/Å, 2θ (°), I/Imax
2 0 1, 4.041, 22.00, 100
2 2 -1, 3.025, 29.53, 87
4 2 0, 2.520, 35.63, 48
3 1 -1, 3.385, 26.33, 34
4 0 2, 2.021, 44.86, 25
6 2 1, 1.746, 52.41, 23

```
data_ZrGa2Br4F2
_cell_length_a 13.180
_cell_length_b 7.941
_cell_length_c 5.827
_cell_angle_alpha 90.00
_cell_angle_beta 98.29
_cell_angle_gamma 90.00
_space_group_name_H-M_alt 'C 1 2/m 1'
_space_group_IT_number 12
_space_group_name_Hall '-C 2y'
loop_
_atom_site_label
_atom_site_type_symbol
_atom_site_fract_x
_atom_site_fract_y
_atom_site_fract_z
Zr1 Zr 0.000 0.000 0.000
Ga1 Ga 0.227 0.000 0.610
Br1 Br 0.106 0.236 0.814
F1 F 0.107 0.000 0.289
```